This entry pairs a crystal structure of Tb2Al3Au5 with its theoretical X-ray diffraction stick pattern. Radiation: a wavelength of 1.5418 Å. Structure: the PBE geometry in Alexandria.

Most intense lines, 10° ≤ 2θ ≤ 90°, low angle first:
| 2θ/deg | d (Å) | I/Imax |
| --- | --- | --- |
| 31.14 | 2.872 | 36.6 |
| 32.21 | 2.779 | 24.0 |
| 33.45 | 2.679 | 100.0 |
| 33.87 | 2.647 | 82.2 |
| 41.85 | 2.158 | 70.5 |
| 46.70 | 1.945 | 25.0 |

Cell and atoms:
```
data_Tb2Al3Au5
_chemical_formula_sum 'Tb4 Al6 Au10'
_cell_length_a 8.7077
_cell_length_b 8.7077
_cell_length_c 8.7077
_cell_angle_alpha 102.56
_cell_angle_beta 91.85
_cell_angle_gamma 138.62
_symmetry_space_group_name_H-M 'P 1'
_symmetry_Int_Tables_number 1
_symmetry_space_group_name_Hall 'P 1'
loop_
_atom_site_label
_atom_site_type_symbol
_atom_site_fract_x
_atom_site_fract_y
_atom_site_fract_z
Tb1 Tb 0.1342 0.2291 0.3633
Tb2 Tb 0.3658 0.7291 0.0949
Tb3 Tb 0.6342 0.2709 0.9051
Tb4 Tb 0.8658 0.7709 0.6367
Al1 Al 0.1345 0.8855 0.0200
Al2 Al 0.2500 0.7500 0.5000
Al3 Al 0.3655 0.3855 0.7510
Al4 Al 0.6345 0.6145 0.2490
Al5 Al 0.7500 0.2500 0.5000
Al6 Al 0.8655 0.1145 0.9800
Au1 Au 0.0178 0.7500 0.2678
Au2 Au 0.0982 0.6626 0.7608
Au3 Au 0.2500 0.2500 0.0000
Au4 Au 0.4018 0.1626 0.5644
Au5 Au 0.4822 0.7500 0.7322
Au6 Au 0.5178 0.2500 0.2678
Au7 Au 0.5982 0.8374 0.4356
Au8 Au 0.7500 0.7500 0.0000
Au9 Au 0.9018 0.3374 0.2392
Au10 Au 0.9822 0.2500 0.7322
```

---

This entry pairs a crystal structure of PrTaS4 with its theoretical X-ray diffraction stick pattern. Radiation: a wavelength of 1.5418 Å. Structure: the PBE geometry in Alexandria.

Most intense lines, 10° ≤ 2θ ≤ 90°, low angle first:
| 2θ/deg | d (Å) | I/Imax |
| --- | --- | --- |
| 18.93 | 4.687 | 100.0 |
| 26.75 | 3.332 | 60.2 |
| 38.30 | 2.350 | 69.0 |
| 38.41 | 2.344 | 21.5 |
| 47.43 | 1.917 | 25.3 |
| 62.63 | 1.483 | 21.2 |

Cell and atoms:
```
data_PrTaS4
_chemical_formula_sum 'Pr2 Ta2 S8'
_cell_length_a 7.6680
_cell_length_b 7.6680
_cell_length_c 7.6680
_cell_angle_alpha 104.64
_cell_angle_beta 104.64
_cell_angle_gamma 119.64
_symmetry_space_group_name_H-M 'P 1'
_symmetry_Int_Tables_number 1
_symmetry_space_group_name_Hall 'P 1'
loop_
_atom_site_label
_atom_site_type_symbol
_atom_site_fract_x
_atom_site_fract_y
_atom_site_fract_z
Pr1 Pr 0.3750 0.6250 0.7500
Pr2 Pr 0.6250 0.3750 0.2500
Ta1 Ta 0.1250 0.8750 0.2500
Ta2 Ta 0.8750 0.1250 0.7500
S1 S 0.1276 0.6893 0.4382
S2 S 0.2489 0.3107 0.9382
S3 S 0.3107 0.2489 0.4382
S4 S 0.3107 0.8724 0.0618
S5 S 0.6893 0.1276 0.9382
S6 S 0.6893 0.7511 0.5618
S7 S 0.7511 0.6893 0.0618
S8 S 0.8724 0.3107 0.5618
```

---

This entry pairs a crystal structure of SmPa3P4 with its theoretical X-ray diffraction stick pattern. Radiation: a wavelength of 1.5418 Å. Structure: the PBE geometry in Alexandria.

Most intense lines, 10° ≤ 2θ ≤ 90°, low angle first:
| 2θ/deg | d (Å) | I/Imax |
| --- | --- | --- |
| 27.34 | 3.262 | 100.0 |
| 31.67 | 2.825 | 95.9 |
| 45.40 | 1.998 | 71.2 |
| 53.81 | 1.704 | 49.8 |
| 75.20 | 1.263 | 32.8 |
| 83.88 | 1.153 | 25.2 |

Cell and atoms:
```
data_SmPa3P4
_chemical_formula_sum 'Sm1 Pa3 P4'
_cell_length_a 6.9206
_cell_length_b 6.9206
_cell_length_c 3.9963
_cell_angle_alpha 90.00
_cell_angle_beta 90.00
_cell_angle_gamma 109.51
_symmetry_space_group_name_H-M 'P 1'
_symmetry_Int_Tables_number 1
_symmetry_space_group_name_Hall 'P 1'
loop_
_atom_site_label
_atom_site_type_symbol
_atom_site_fract_x
_atom_site_fract_y
_atom_site_fract_z
Sm1 Sm 0.0000 0.0000 0.0000
Pa1 Pa 0.0000 0.5000 0.5000
Pa2 Pa 0.5000 0.0000 0.5000
Pa3 Pa 0.5000 0.5000 0.0000
P1 P 0.2521 0.7479 0.0000
P2 P 0.2561 0.2561 0.5000
P3 P 0.7439 0.7439 0.5000
P4 P 0.7479 0.2521 0.0000
```

---

This entry pairs a crystal structure of Pm2Zn3Si with its theoretical X-ray diffraction stick pattern. Radiation: a wavelength of 1.5418 Å. Structure: the PBE geometry in Alexandria.

Most intense lines, 10° ≤ 2θ ≤ 90°, low angle first:
| 2θ/deg | d (Å) | I/Imax |
| --- | --- | --- |
| 23.35 | 3.809 | 22.4 |
| 33.40 | 2.683 | 100.0 |
| 41.04 | 2.199 | 47.2 |
| 53.91 | 1.701 | 25.2 |
| 65.09 | 1.433 | 23.2 |
| 69.88 | 1.346 | 15.4 |

Cell and atoms:
```
data_Pm2Zn3Si
_chemical_formula_sum 'Pm4 Zn6 Si2'
_cell_length_a 8.7921
_cell_length_b 8.4957
_cell_length_c 5.8032
_cell_angle_alpha 73.17
_cell_angle_beta 67.65
_cell_angle_gamma 39.18
_symmetry_space_group_name_H-M 'P 1'
_symmetry_Int_Tables_number 1
_symmetry_space_group_name_Hall 'P 1'
loop_
_atom_site_label
_atom_site_type_symbol
_atom_site_fract_x
_atom_site_fract_y
_atom_site_fract_z
Pm1 Pm 0.2439 0.7561 0.7561
Pm2 Pm 0.2500 0.2500 0.2500
Pm3 Pm 0.7500 0.7500 0.7500
Pm4 Pm 0.7561 0.2439 0.2439
Zn1 Zn 0.1685 0.1685 0.8315
Zn2 Zn 0.1709 0.6623 0.3377
Zn3 Zn 0.3377 0.8291 0.1709
Zn4 Zn 0.6623 0.1709 0.8291
Zn5 Zn 0.8291 0.3377 0.6623
Zn6 Zn 0.8315 0.8315 0.1685
Si1 Si 0.3341 0.3341 0.6659
Si2 Si 0.6659 0.6659 0.3341
```

---

This entry pairs a crystal structure of Tb2Zr2O7 with its theoretical X-ray diffraction stick pattern. Radiation: a wavelength of 1.5418 Å. Structure: the PBE geometry in Alexandria.

Most intense lines, 10° ≤ 2θ ≤ 90°, low angle first:
| 2θ/deg | d (Å) | I/Imax |
| --- | --- | --- |
| 13.93 | 6.359 | 40.1 |
| 25.24 | 3.528 | 73.0 |
| 28.08 | 3.178 | 100.0 |
| 30.64 | 2.918 | 65.2 |
| 32.27 | 2.774 | 38.6 |
| 49.65 | 1.836 | 36.6 |

Cell and atoms:
```
data_Tb2Zr2O7
_chemical_formula_sum 'Tb8 Zr8 O28'
_cell_length_a 7.3458
_cell_length_b 7.3458
_cell_length_c 12.7009
_cell_angle_alpha 90.00
_cell_angle_beta 90.00
_cell_angle_gamma 90.00
_symmetry_space_group_name_H-M 'P 1'
_symmetry_Int_Tables_number 1
_symmetry_space_group_name_Hall 'P 1'
loop_
_atom_site_label
_atom_site_type_symbol
_atom_site_fract_x
_atom_site_fract_y
_atom_site_fract_z
Tb1 Tb 0.1235 0.3616 0.3842
Tb2 Tb 0.1384 0.6235 0.6342
Tb3 Tb 0.3616 0.1235 0.6158
Tb4 Tb 0.3765 0.8616 0.8658
Tb5 Tb 0.6235 0.1384 0.3658
Tb6 Tb 0.6384 0.8765 0.1158
Tb7 Tb 0.8616 0.3765 0.1342
Tb8 Tb 0.8765 0.6384 0.8842
Zr1 Zr 0.1008 0.8726 0.0952
Zr2 Zr 0.1274 0.8992 0.4048
Zr3 Zr 0.3726 0.3992 0.8452
Zr4 Zr 0.3992 0.3726 0.1548
Zr5 Zr 0.6008 0.6274 0.6548
Zr6 Zr 0.6274 0.6008 0.3452
Zr7 Zr 0.8726 0.1008 0.9048
Zr8 Zr 0.8992 0.1274 0.5952
O1 O 0.0720 0.9083 0.9144
O2 O 0.0843 0.3246 0.5732
O3 O 0.0917 0.9280 0.5856
O4 O 0.1369 0.3525 0.2042
O5 O 0.1475 0.6369 0.4542
O6 O 0.1470 0.8530 0.2500
O7 O 0.1754 0.5843 0.8232
O8 O 0.3246 0.0843 0.4268
O9 O 0.3525 0.1369 0.7958
O10 O 0.3530 0.3530 0.0000
O11 O 0.3631 0.8525 0.0458
O12 O 0.4083 0.4280 0.6644
O13 O 0.4157 0.8246 0.6768
O14 O 0.4280 0.4083 0.3356
O15 O 0.5720 0.5917 0.8356
O16 O 0.5843 0.1754 0.1768
O17 O 0.5917 0.5720 0.1644
O18 O 0.6369 0.1475 0.5458
O19 O 0.6470 0.6470 0.5000
O20 O 0.6475 0.8631 0.2958
O21 O 0.6754 0.9157 0.9268
O22 O 0.8246 0.4157 0.3232
O23 O 0.8530 0.1470 0.7500
O24 O 0.8525 0.3631 0.9542
O25 O 0.8631 0.6475 0.7042
O26 O 0.9083 0.0720 0.0856
O27 O 0.9157 0.6754 0.0732
O28 O 0.9280 0.0917 0.4144
```

---

This entry pairs a crystal structure of Zr3VTe8 with its theoretical X-ray diffraction stick pattern. Radiation: a wavelength of 1.5418 Å. Structure: the PBE geometry in Alexandria.

Most intense lines, 10° ≤ 2θ ≤ 90°, low angle first:
| 2θ/deg | d (Å) | I/Imax |
| --- | --- | --- |
| 11.93 | 7.420 | 41.1 |
| 27.82 | 3.206 | 32.4 |
| 30.80 | 2.903 | 100.0 |
| 31.53 | 2.838 | 47.4 |
| 42.51 | 2.126 | 41.1 |
| 46.75 | 1.943 | 30.5 |

Cell and atoms:
```
data_Zr3VTe8
_chemical_formula_sum 'Zr3 V1 Te8'
_cell_length_a 7.7719
_cell_length_b 7.7755
_cell_length_c 8.6047
_cell_angle_alpha 64.87
_cell_angle_beta 63.22
_cell_angle_gamma 60.11
_symmetry_space_group_name_H-M 'P 1'
_symmetry_Int_Tables_number 1
_symmetry_space_group_name_Hall 'P 1'
loop_
_atom_site_label
_atom_site_type_symbol
_atom_site_fract_x
_atom_site_fract_y
_atom_site_fract_z
Zr1 Zr 0.0000 0.0000 0.0000
Zr2 Zr 0.0000 0.5000 0.0000
Zr3 Zr 0.5000 0.0000 0.0000
V1 V 0.5000 0.5000 0.0000
Te1 Te 0.2547 0.2404 0.7502
Te2 Te 0.2555 0.2694 0.2398
Te3 Te 0.2556 0.7490 0.2397
Te4 Te 0.2647 0.7305 0.7603
Te5 Te 0.7353 0.2695 0.2397
Te6 Te 0.7444 0.2510 0.7603
Te7 Te 0.7445 0.7306 0.7602
Te8 Te 0.7453 0.7596 0.2498
```